Entry 1:
Computed X-ray powder pattern of InN2O for Cu Kα, 1.54184 Å, from a crystal structure in Alexandria, relaxed with GGA-PBE.
Peak positions follow from Bragg's law for the DFT cell and can differ from measured ones.

Cell: 3.594 3.601 8.953 Å, 84.49 79.20 60.11°
Sites, in units of the cell vectors:
In 0.000 0.000 0.000
N 0.049 0.438 0.450
N 0.906 0.603 0.562
O 0.362 0.335 0.939

Top 6 peaks for 2θ = 15–90°, in order of rising 2θ:
2θ/deg  d (Å)  Rel. int.
20.19  4.397  100
29.05  3.074  42
29.18  3.061  42
30.38  2.942  54
32.40  2.763  36
32.72  2.737  35



Entry 2:
Computed X-ray powder pattern of SrIn2PN4 for Cu Kα, 1.54184 Å, from a crystal structure in Alexandria, relaxed with GGA-PBE.
Peak positions follow from Bragg's law for the DFT cell and can differ from measured ones.

Cell: 5.417 5.408 5.640 Å, 58.68 58.52 62.80°
Sites, in units of the cell vectors:
Sr 0.000 0.000 0.000
In 0.250 0.250 0.250
In 0.750 0.750 0.750
P 0.501 0.501 0.499
N 0.199 0.555 0.445
N 0.446 0.803 0.554
N 0.555 0.199 0.801
N 0.803 0.446 0.197

Top 6 peaks for 2θ = 15–90°, in order of rising 2θ:
2θ/deg  d (Å)  Rel. int.
22.29  3.988  11
31.73  2.820  45
33.23  2.696  100
45.41  1.997  11
57.48  1.603  39
60.30  1.535  19



Entry 3:
Computed X-ray powder pattern of PaInPdN for Cu Kα, 1.54184 Å, from a crystal structure in Alexandria, relaxed with GGA-PBE.
Peak positions follow from Bragg's law for the DFT cell and can differ from measured ones.

Cell: 4.174 4.174 8.442 Å, 90.00 90.00 90.00°
Sites, in units of the cell vectors:
Pa 0.250 0.250 0.121
Pa 0.750 0.750 0.879
In 0.250 0.750 0.500
In 0.750 0.250 0.500
Pd 0.250 0.250 0.713
Pd 0.750 0.750 0.287
N 0.250 0.750 0.000
N 0.750 0.250 0.000

Top 6 peaks for 2θ = 15–90°, in order of rising 2θ:
2θ/deg  d (Å)  Rel. int.
30.11  2.968  100
32.13  2.786  66
37.17  2.419  36
38.59  2.333  44
43.36  2.087  53
53.69  1.707  41



Entry 4:
Computed X-ray powder pattern of PaInSn2N for Cu Kα, 1.54184 Å, from a crystal structure in Alexandria, relaxed with GGA-PBE.
Peak positions follow from Bragg's law for the DFT cell and can differ from measured ones.

Cell: 3.857 3.857 17.479 Å, 90.00 90.00 90.00°
Sites, in units of the cell vectors:
Pa 0.250 0.250 0.068
Pa 0.750 0.750 0.932
In 0.250 0.250 0.650
In 0.750 0.750 0.350
Sn 0.250 0.250 0.443
Sn 0.250 0.250 0.817
Sn 0.750 0.750 0.183
Sn 0.750 0.750 0.557
N 0.250 0.750 0.000
N 0.750 0.250 0.000

Top 6 peaks for 2θ = 15–90°, in order of rising 2θ:
2θ/deg  d (Å)  Rel. int.
27.74  3.216  79
32.84  2.728  80
34.63  2.590  100
47.12  1.929  32
55.56  1.654  24
59.78  1.547  42



Entry 5:
Computed X-ray powder pattern of Th2PaInN5 for Cu Kα, 1.54184 Å, from a crystal structure in Alexandria, relaxed with GGA-PBE.
Peak positions follow from Bragg's law for the DFT cell and can differ from measured ones.

Cell: 7.307 7.307 11.461 Å, 90.00 90.00 151.79°
Sites, in units of the cell vectors:
Th 0.126 0.874 0.500
Th 0.130 0.870 0.039
Th 0.870 0.130 0.539
Th 0.874 0.126 0.000
Pa 0.228 0.772 0.783
Pa 0.772 0.228 0.283
In 0.493 0.507 0.262
In 0.507 0.493 0.762
N 0.073 0.927 0.831
N 0.281 0.719 0.424
N 0.282 0.718 0.142
N 0.371 0.629 0.853
N 0.490 0.510 0.571
N 0.510 0.490 0.071
N 0.629 0.371 0.353
N 0.718 0.282 0.642
N 0.719 0.281 0.924
N 0.927 0.073 0.331

Top 6 peaks for 2θ = 15–90°, in order of rising 2θ:
2θ/deg  d (Å)  Rel. int.
29.64  3.014  100
30.21  2.958  52
31.22  2.865  42
31.46  2.844  46
44.91  2.018  34
54.55  1.682  45



Entry 6:
Computed X-ray powder pattern of Pr4InPbN for Cu Kα, 1.54184 Å, from a crystal structure in Alexandria, relaxed with GGA-PBE.
Peak positions follow from Bragg's law for the DFT cell and can differ from measured ones.

Cell: 9.087 9.087 7.051 Å, 90.00 90.00 134.36°
Sites, in units of the cell vectors:
Pr 0.000 0.500 0.000
Pr 0.000 0.500 0.500
Pr 0.086 0.914 0.750
Pr 0.411 0.589 0.750
Pr 0.500 0.000 0.000
Pr 0.500 0.000 0.500
Pr 0.589 0.411 0.250
Pr 0.914 0.086 0.250
In 0.112 0.888 0.250
In 0.888 0.112 0.750
Pb 0.392 0.608 0.250
Pb 0.608 0.392 0.750
N 0.251 0.749 0.750
N 0.749 0.251 0.250

Top 6 peaks for 2θ = 15–90°, in order of rising 2θ:
2θ/deg  d (Å)  Rel. int.
27.45  3.249  65
32.06  2.792  29
33.22  2.697  100
36.03  2.493  61
49.00  1.859  41
63.00  1.475  32



Entry 7:
Computed X-ray powder pattern of Pr12In4PbN3 for Cu Kα, 1.54184 Å, from a crystal structure in Alexandria, relaxed with GGA-PBE.
Peak positions follow from Bragg's law for the DFT cell and can differ from measured ones.

Cell: 9.181 9.181 9.181 Å, 109.47 109.47 109.47°
Sites, in units of the cell vectors:
Pr 0.000 0.278 0.278
Pr 0.000 0.722 0.722
Pr 0.250 0.500 0.750
Pr 0.250 0.750 0.500
Pr 0.278 0.000 0.278
Pr 0.278 0.278 0.000
Pr 0.500 0.250 0.750
Pr 0.500 0.750 0.250
Pr 0.722 0.000 0.722
Pr 0.722 0.722 0.000
Pr 0.750 0.250 0.500
Pr 0.750 0.500 0.250
In 0.000 0.000 0.500
In 0.000 0.500 0.000
In 0.500 0.000 0.000
In 0.500 0.500 0.500
Pb 0.000 0.000 0.000
N 0.000 0.500 0.500
N 0.500 0.000 0.500
N 0.500 0.500 0.000

Top 6 peaks for 2θ = 15–90°, in order of rising 2θ:
2θ/deg  d (Å)  Rel. int.
29.18  3.060  100
33.82  2.650  80
48.58  1.874  54
57.68  1.598  38
60.50  1.530  17
81.15  1.185  21



Entry 8:
Computed X-ray powder pattern of InPdSe2N for Cu Kα, 1.54184 Å, from a crystal structure in Alexandria, relaxed with GGA-PBE.
Peak positions follow from Bragg's law for the DFT cell and can differ from measured ones.

Cell: 5.292 5.292 3.732 Å, 90.00 90.00 90.00°
Sites, in units of the cell vectors:
In 0.000 0.000 0.000
Pd 0.500 0.500 0.500
Se 0.000 0.500 0.500
Se 0.500 0.000 0.500
N 0.500 0.500 0.000

Top 6 peaks for 2θ = 15–90°, in order of rising 2θ:
2θ/deg  d (Å)  Rel. int.
23.82  3.736  18
29.28  3.050  58
33.89  2.645  100
45.38  1.999  35
48.66  1.871  25
60.71  1.526  35



Entry 9:
Computed X-ray powder pattern of PmPr12In4N3 for Cu Kα, 1.54184 Å, from a crystal structure in Alexandria, relaxed with GGA-PBE.
Peak positions follow from Bragg's law for the DFT cell and can differ from measured ones.

Cell: 8.984 8.984 8.984 Å, 109.47 109.47 109.47°
Sites, in units of the cell vectors:
Pm 0.000 0.000 0.000
Pr 0.000 0.275 0.275
Pr 0.000 0.725 0.725
Pr 0.250 0.500 0.750
Pr 0.250 0.750 0.500
Pr 0.275 0.000 0.275
Pr 0.275 0.275 0.000
Pr 0.500 0.250 0.750
Pr 0.500 0.750 0.250
Pr 0.725 0.000 0.725
Pr 0.725 0.725 0.000
Pr 0.750 0.250 0.500
Pr 0.750 0.500 0.250
In 0.000 0.000 0.500
In 0.000 0.500 0.000
In 0.500 0.000 0.000
In 0.500 0.500 0.500
N 0.000 0.500 0.500
N 0.500 0.000 0.500
N 0.500 0.500 0.000

Top 6 peaks for 2θ = 15–90°, in order of rising 2θ:
2θ/deg  d (Å)  Rel. int.
29.83  2.995  100
34.58  2.594  72
49.72  1.834  48
59.07  1.564  39
61.97  1.497  16
83.31  1.160  19



Entry 10:
Computed X-ray powder pattern of Pr9In3N2 for Cu Kα, 1.54184 Å, from a crystal structure in Alexandria, relaxed with GGA-PBE.
Peak positions follow from Bragg's law for the DFT cell and can differ from measured ones.

Cell: 7.204 7.204 8.822 Å, 90.00 90.00 120.00°
Sites, in units of the cell vectors:
Pr 0.000 0.500 0.000
Pr 0.170 0.340 0.672
Pr 0.170 0.830 0.672
Pr 0.340 0.170 0.328
Pr 0.500 0.000 0.000
Pr 0.500 0.500 0.000
Pr 0.660 0.830 0.672
Pr 0.830 0.170 0.328
Pr 0.830 0.660 0.328
In 0.000 0.000 0.000
In 0.333 0.667 0.333
In 0.667 0.333 0.667
N 0.333 0.667 0.829
N 0.667 0.333 0.171

Top 6 peaks for 2θ = 15–90°, in order of rising 2θ:
2θ/deg  d (Å)  Rel. int.
30.39  2.941  100
35.24  2.547  54
50.69  1.801  38
60.26  1.536  42
82.55  1.169  17
85.19  1.139  17



Entry 11:
Computed X-ray powder pattern of InPt3N for Cu Kα, 1.54184 Å, from a crystal structure in Alexandria, relaxed with GGA-PBE.
Peak positions follow from Bragg's law for the DFT cell and can differ from measured ones.

Cell: 4.267 4.267 4.267 Å, 90.00 90.00 90.00°
Sites, in units of the cell vectors:
In 0.000 0.000 0.000
Pt 0.000 0.500 0.500
Pt 0.500 0.000 0.500
Pt 0.500 0.500 0.000
N 0.500 0.500 0.500

Top 6 peaks for 2θ = 15–90°, in order of rising 2θ:
2θ/deg  d (Å)  Rel. int.
20.82  4.267  5
36.47  2.464  100
42.36  2.134  53
61.46  1.509  36
73.62  1.287  40
77.48  1.232  12



Entry 12:
Computed X-ray powder pattern of InSbS2N for Cu Kα, 1.54184 Å, from a crystal structure in Alexandria, relaxed with GGA-PBE.
Peak positions follow from Bragg's law for the DFT cell and can differ from measured ones.

Cell: 5.126 5.126 3.971 Å, 90.00 90.00 90.00°
Sites, in units of the cell vectors:
In 0.000 0.000 0.000
Sb 0.500 0.500 0.500
S 0.000 0.500 0.500
S 0.500 0.000 0.500
N 0.500 0.500 0.000

Top 6 peaks for 2θ = 15–90°, in order of rising 2θ:
2θ/deg  d (Å)  Rel. int.
24.56  3.625  49
28.43  3.139  100
35.01  2.563  58
45.70  1.985  68
58.83  1.570  37
70.33  1.339  29



Entry 13:
Computed X-ray powder pattern of InSb2N for Cu Kα, 1.54184 Å, from a crystal structure in Alexandria, relaxed with GGA-PBE.
Peak positions follow from Bragg's law for the DFT cell and can differ from measured ones.

Cell: 5.729 6.678 6.690 Å, 87.46 64.74 89.30°
Sites, in units of the cell vectors:
In 0.000 0.000 0.000
In 0.264 0.964 0.471
Sb 0.470 0.649 0.059
Sb 0.479 0.177 0.040
Sb 0.700 0.870 0.603
Sb 0.880 0.598 0.240
N 0.102 0.377 0.628
N 0.198 0.495 0.683

Top 6 peaks for 2θ = 15–90°, in order of rising 2θ:
2θ/deg  d (Å)  Rel. int.
29.56  3.022  28
30.03  2.975  43
31.22  2.865  100
31.99  2.798  34
38.94  2.313  27
40.50  2.227  29



Entry 14:
Computed X-ray powder pattern of InSb2TeN for Cu Kα, 1.54184 Å, from a crystal structure in Alexandria, relaxed with GGA-PBE.
Peak positions follow from Bragg's law for the DFT cell and can differ from measured ones.

Cell: 4.811 4.811 5.097 Å, 90.00 90.00 90.00°
Sites, in units of the cell vectors:
In 0.000 0.000 0.000
Sb 0.000 0.500 0.500
Sb 0.500 0.000 0.500
Te 0.500 0.500 0.000
N 0.500 0.500 0.500

Top 6 peaks for 2θ = 15–90°, in order of rising 2θ:
2θ/deg  d (Å)  Rel. int.
31.62  2.829  100
35.22  2.549  21
37.39  2.405  35
52.30  1.749  26
60.95  1.520  15
63.85  1.458  26